This entry pairs a crystal structure of TbBiS3 with its theoretical powder diffractogram. Radiation: copper Kα. Structure: a crystal structure in Alexandria, relaxed with PBE.
Peak positions follow from Bragg's law for the DFT cell and can differ from measured ones.

Main lines, most intense first (2θ = 10–90°):
6.008 Å, 14.7 deg, I = 100; 2.478 Å, 36.2 deg, I = 96; 3.468 Å, 25.7 deg, I = 68; 3.052 Å, 29.3 deg, I = 30; 2.003 Å, 45.3 deg, I = 30; 2.291 Å, 39.3 deg, I = 22; 1.558 Å, 59.3 deg, I = 22; 1.229 Å, 77.7 deg, I = 20; 1.912 Å, 47.6 deg, I = 19; 1.743 Å, 52.5 deg, I = 17

Crystal structure
a b c (Å): 6.937 6.937 7.085
angles (deg): 90.00 90.00 120.00
Fractional positions:
Tb  0.000  0.000  0.000
Tb  0.000  0.000  0.500
Bi  0.333  0.667  0.000
Bi  0.333  0.667  0.500
S  0.038  0.325  0.250
S  0.038  0.713  0.750
S  0.287  0.325  0.750
S  0.287  0.962  0.250
S  0.675  0.713  0.250
S  0.675  0.962  0.750